[1]
Diffraction record for LiScPd5. The XRD peak list is simulated, not measured: it uses a GGA-PBE-relaxed structure and λ = 1.5418 Å (Cu Kα).

Atomic structure:
a = 4.059 Å, b = 4.059 Å, c = 6.792 Å
α = 90.00°, β = 90.00°, γ = 90.00°
Positions (direct):
Li1 0.000 0.000 0.000
Sc1 0.500 0.500 0.500
Pd1 0.000 0.000 0.500
Pd2 0.000 0.500 0.215
Pd3 0.000 0.500 0.785
Pd4 0.500 0.000 0.215
Pd5 0.500 0.000 0.785

Main lines, in order of rising 2θ (2θ = 15–90°):
two_theta, d_spacing, I (rel.)
26.2, 3.396, 15
31.2, 2.870, 27
33.9, 2.644, 33
39.8, 2.264, 15
41.2, 2.192, 100
44.7, 2.029, 46
61.3, 1.511, 17
65.0, 1.435, 14
77.8, 1.228, 14
79.9, 1.201, 27


[2]
Diffraction record for Li3Sc2Pd4. The XRD peak list is simulated, not measured: it uses a GGA-PBE-relaxed structure and λ = 1.5418 Å (Cu Kα).

Atomic structure:
a = 4.428 Å, b = 4.428 Å, c = 8.517 Å
α = 90.06°, β = 90.06°, γ = 59.94°
Positions (direct):
Li1 0.000 0.000 0.000
Li2 0.334 0.334 0.436
Li3 0.666 0.666 0.564
Sc1 0.333 0.333 0.786
Sc2 0.667 0.667 0.214
Pd1 0.000 0.000 0.336
Pd2 0.000 0.000 0.664
Pd3 0.334 0.334 0.109
Pd4 0.666 0.666 0.891

Main lines, in order of rising 2θ (2θ = 15–90°):
two_theta, d_spacing, I (rel.)
25.5, 3.496, 90
31.4, 2.849, 35
39.5, 2.281, 100
40.8, 2.213, 90
48.7, 1.870, 15
58.1, 1.589, 31
60.3, 1.534, 14
70.8, 1.331, 17
73.3, 1.291, 20
74.2, 1.278, 15


[3]
Diffraction record for LiThSc2Pd4. The XRD peak list is simulated, not measured: it uses a GGA-PBE-relaxed structure and λ = 1.5418 Å (Cu Kα).

Atomic structure:
a = 8.624 Å, b = 8.624 Å, c = 8.624 Å
α = 31.24°, β = 31.24°, γ = 31.24°
Positions (direct):
Li1 0.000 0.000 0.000
Th1 0.500 0.500 0.500
Sc1 0.266 0.266 0.266
Sc2 0.734 0.734 0.734
Pd1 0.107 0.107 0.107
Pd2 0.377 0.377 0.377
Pd3 0.623 0.623 0.623
Pd4 0.893 0.893 0.893

Main lines, in order of rising 2θ (2θ = 15–90°):
two_theta, d_spacing, I (rel.)
22.4, 3.969, 32
23.3, 3.822, 25
28.7, 3.113, 38
33.9, 2.646, 23
36.8, 2.442, 83
38.8, 2.322, 100
43.1, 2.098, 23
54.5, 1.683, 26
68.9, 1.362, 31
70.2, 1.340, 28


[4]
Diffraction record for Li2ScZn2Pd2. The XRD peak list is simulated, not measured: it uses a GGA-PBE-relaxed structure and λ = 1.5418 Å (Cu Kα).

Atomic structure:
a = 4.341 Å, b = 4.341 Å, c = 7.155 Å
α = 111.16°, β = 111.16°, γ = 62.68°
Positions (direct):
Li1 0.065 0.065 0.217
Li2 0.935 0.935 0.783
Sc1 0.500 0.500 0.500
Zn1 0.356 0.356 0.061
Zn2 0.644 0.644 0.939
Pd1 0.225 0.225 0.662
Pd2 0.775 0.775 0.338

Main lines, in order of rising 2θ (2θ = 15–90°):
two_theta, d_spacing, I (rel.)
23.7, 3.748, 19
24.5, 3.638, 76
26.5, 3.361, 31
32.0, 2.801, 21
38.9, 2.317, 52
39.9, 2.258, 50
40.9, 2.208, 88
41.8, 2.162, 100
56.9, 1.617, 33
73.0, 1.296, 16


[5]
Diffraction record for LiPdSe2. The XRD peak list is simulated, not measured: it uses a GGA-PBE-relaxed structure and λ = 1.5418 Å (Cu Kα).

Atomic structure:
a = 5.205 Å, b = 5.291 Å, c = 6.771 Å
α = 112.32°, β = 112.05°, γ = 91.40°
Positions (direct):
Li1 0.139 0.390 0.275
Li2 0.861 0.610 0.725
Pd1 0.379 0.129 0.757
Pd2 0.621 0.871 0.243
Se1 0.159 0.911 0.318
Se2 0.401 0.652 0.803
Se3 0.599 0.348 0.197
Se4 0.841 0.089 0.682

Main lines, in order of rising 2θ (2θ = 15–90°):
two_theta, d_spacing, I (rel.)
18.5, 4.797, 93
18.7, 4.733, 100
31.4, 2.848, 76
33.9, 2.645, 89
34.5, 2.602, 85
43.4, 2.087, 41
46.9, 1.938, 49
47.3, 1.921, 47
48.5, 1.878, 32
49.8, 1.832, 29


[6]
Diffraction record for Li3Zr3PdSe8. The XRD peak list is simulated, not measured: it uses a GGA-PBE-relaxed structure and λ = 1.5418 Å (Cu Kα).

Atomic structure:
a = 7.855 Å, b = 7.855 Å, c = 7.855 Å
α = 57.70°, β = 57.70°, γ = 57.70°
Positions (direct):
Li1 0.000 0.500 0.500
Li2 0.500 0.000 0.500
Li3 0.500 0.500 0.000
Zr1 0.000 0.000 0.500
Zr2 0.000 0.500 0.000
Zr3 0.500 0.000 0.000
Pd1 0.500 0.500 0.500
Se1 0.250 0.250 0.250
Se2 0.252 0.746 0.746
Se3 0.254 0.254 0.748
Se4 0.254 0.748 0.254
Se5 0.746 0.252 0.746
Se6 0.746 0.746 0.252
Se7 0.748 0.254 0.254
Se8 0.750 0.750 0.750

Main lines, in order of rising 2θ (2θ = 15–90°):
two_theta, d_spacing, I (rel.)
27.6, 3.237, 20
32.9, 2.726, 100
46.3, 1.961, 37
48.0, 1.895, 34
50.1, 1.820, 8
59.4, 1.556, 18
68.9, 1.363, 11
77.2, 1.236, 16
79.7, 1.203, 15
88.3, 1.106, 12


[7]
Diffraction record for Li14SiPd. The XRD peak list is simulated, not measured: it uses a GGA-PBE-relaxed structure and λ = 1.5418 Å (Cu Kα).

Atomic structure:
a = 5.915 Å, b = 5.915 Å, c = 7.849 Å
α = 90.00°, β = 90.00°, γ = 90.00°
Positions (direct):
Li1 0.000 0.000 0.000
Li2 0.000 0.500 0.000
Li3 0.000 0.500 0.500
Li4 0.249 0.249 0.279
Li5 0.249 0.249 0.721
Li6 0.249 0.751 0.279
Li7 0.249 0.751 0.721
Li8 0.500 0.000 0.000
Li9 0.500 0.000 0.500
Li10 0.500 0.500 0.000
Li11 0.751 0.249 0.279
Li12 0.751 0.249 0.721
Li13 0.751 0.751 0.279
Li14 0.751 0.751 0.721
Si1 0.000 0.000 0.500
Pd1 0.500 0.500 0.500

Main lines, in order of rising 2θ (2θ = 15–90°):
two_theta, d_spacing, I (rel.)
18.8, 4.724, 68
21.2, 4.183, 68
22.7, 3.925, 30
24.1, 3.691, 100
27.3, 3.270, 28
30.2, 2.958, 28
31.3, 2.862, 51
32.3, 2.768, 41
38.1, 2.362, 77
46.3, 1.961, 33


[8]
Diffraction record for Li3SiPd. The XRD peak list is simulated, not measured: it uses a GGA-PBE-relaxed structure and λ = 1.5418 Å (Cu Kα).

Atomic structure:
a = 8.023 Å, b = 8.023 Å, c = 2.965 Å
α = 100.36°, β = 100.36°, γ = 24.54°
Positions (direct):
Li1 0.000 0.000 0.000
Li2 0.228 0.228 0.230
Li3 0.611 0.611 0.612
Si1 0.403 0.403 0.403
Pd1 0.829 0.829 0.831

Main lines, in order of rising 2θ (2θ = 15–90°):
two_theta, d_spacing, I (rel.)
23.1, 3.853, 86
26.8, 3.330, 79
30.7, 2.912, 55
31.5, 2.841, 75
34.9, 2.572, 47
39.4, 2.287, 84
40.3, 2.238, 89
42.0, 2.149, 100
42.2, 2.143, 34
49.3, 1.850, 39


[9]
Diffraction record for Li6SiPd. The XRD peak list is simulated, not measured: it uses a GGA-PBE-relaxed structure and λ = 1.5418 Å (Cu Kα).

Atomic structure:
a = 4.930 Å, b = 4.935 Å, c = 4.935 Å
α = 89.74°, β = 89.98°, γ = 89.67°
Positions (direct):
Li1 0.000 0.000 0.247
Li2 0.000 0.000 0.753
Li3 0.247 0.500 0.500
Li4 0.499 0.747 0.000
Li5 0.501 0.253 0.000
Li6 0.753 0.500 0.500
Si1 0.000 0.500 0.000
Pd1 0.500 0.000 0.500

Main lines, in order of rising 2θ (2θ = 15–90°):
two_theta, d_spacing, I (rel.)
18.0, 4.933, 65
25.5, 3.493, 100
25.6, 3.480, 50
31.4, 2.848, 11
36.4, 2.467, 39
40.8, 2.210, 16
40.9, 2.204, 15
44.9, 2.020, 21
45.0, 2.014, 35
45.1, 2.009, 28


[10]
Diffraction record for LiSiPd. The XRD peak list is simulated, not measured: it uses a GGA-PBE-relaxed structure and λ = 1.5418 Å (Cu Kα).

Atomic structure:
a = 4.031 Å, b = 4.031 Å, c = 7.021 Å
α = 90.00°, β = 90.00°, γ = 120.00°
Positions (direct):
Li1 0.000 0.000 0.190
Li2 0.000 0.000 0.810
Si1 0.333 0.667 0.339
Si2 0.333 0.667 0.661
Pd1 0.333 0.667 0.000
Pd2 0.667 0.333 0.500

Main lines, in order of rising 2θ (2θ = 15–90°):
two_theta, d_spacing, I (rel.)
25.4, 3.510, 29
25.5, 3.491, 48
28.6, 3.126, 100
36.3, 2.475, 22
45.0, 2.015, 43
46.7, 1.944, 55
52.4, 1.747, 30
54.2, 1.694, 16
66.9, 1.399, 18
84.3, 1.149, 20


[11]
Diffraction record for Li2Si2Pd. The XRD peak list is simulated, not measured: it uses a GGA-PBE-relaxed structure and λ = 1.5418 Å (Cu Kα).

Atomic structure:
a = 5.129 Å, b = 5.129 Å, c = 5.129 Å
α = 132.76°, β = 123.54°, γ = 76.62°
Positions (direct):
Li1 0.189 0.189 0.000
Li2 0.811 0.811 0.000
Si1 0.237 0.500 0.737
Si2 0.763 0.500 0.263
Pd1 0.500 0.000 0.500

Main lines, in order of rising 2θ (2θ = 15–90°):
two_theta, d_spacing, I (rel.)
21.4, 4.156, 82
22.1, 4.025, 100
28.5, 3.136, 43
36.3, 2.474, 61
38.3, 2.348, 23
44.1, 2.055, 19
44.8, 2.022, 65
49.5, 1.842, 17
49.8, 1.830, 21
55.8, 1.649, 28


[12]
Diffraction record for LiSi2Pd4. The XRD peak list is simulated, not measured: it uses a GGA-PBE-relaxed structure and λ = 1.5418 Å (Cu Kα).

Atomic structure:
a = 17.482 Å, b = 3.989 Å, c = 5.933 Å
α = 90.00°, β = 90.00°, γ = 90.00°
Positions (direct):
Li1 0.130 0.250 0.051
Li2 0.370 0.750 0.551
Li3 0.630 0.250 0.449
Li4 0.870 0.750 0.949
Si1 0.045 0.750 0.254
Si2 0.204 0.250 0.609
Si3 0.296 0.750 0.109
Si4 0.455 0.250 0.754
Si5 0.545 0.750 0.246
Si6 0.704 0.250 0.891
Si7 0.796 0.750 0.391
Si8 0.955 0.250 0.746
Pd1 0.034 0.750 0.853
Pd2 0.071 0.250 0.512
Pd3 0.181 0.750 0.353
Pd4 0.199 0.750 0.833
Pd5 0.301 0.250 0.333
Pd6 0.319 0.250 0.853
Pd7 0.429 0.750 0.012
Pd8 0.466 0.250 0.353
Pd9 0.534 0.750 0.647
Pd10 0.571 0.250 0.988
Pd11 0.681 0.750 0.147
Pd12 0.699 0.750 0.667
Pd13 0.801 0.250 0.167
Pd14 0.819 0.250 0.647
Pd15 0.929 0.750 0.488
Pd16 0.966 0.250 0.147

Main lines, in order of rising 2θ (2θ = 15–90°):
two_theta, d_spacing, I (rel.)
30.3, 2.946, 48
30.6, 2.925, 41
31.1, 2.878, 35
37.4, 2.404, 56
38.2, 2.357, 100
39.2, 2.298, 51
41.3, 2.185, 36
45.5, 1.995, 60
46.1, 1.967, 68
47.6, 1.911, 27